[1]
Calculated X-ray powder pattern of Li7ZnCd3 for Cu Kα X-rays, from a DFT-relaxed cell (PBE, Alexandria).
Intensities are scaled so that the largest is 100.

Largest 10 diffraction maxima, by intensity, 2θ = 10–90°:
| 2θ (°) | intensity |
| --- | --- |
| 15.8 | 100 |
| 21.7 | 63 |
| 25.8 | 60 |
| 26.7 | 46 |
| 37.4 | 43 |
| 37.3 | 38 |
| 30.4 | 32 |
| 36.6 | 29 |
| 40.9 | 26 |
| 31.2 | 19 |

Structural model:
```
Li7ZnCd3
1.0
1.483 -10.360 0.000
1.483 10.360 0.000
0.000 0.000 13.378
Li Zn Cd
14 2 6
Direct
0.015 0.985 0.634
0.015 0.985 0.866
0.111 0.889 0.250
0.160 0.840 0.619
0.160 0.840 0.881
0.200 0.800 0.070
0.200 0.800 0.430
0.800 0.200 0.570
0.800 0.200 0.930
0.840 0.160 0.119
0.840 0.160 0.381
0.889 0.111 0.750
0.985 0.015 0.134
0.985 0.015 0.366
0.405 0.595 0.250
0.595 0.405 0.750
0.259 0.741 0.250
0.420 0.580 0.527
0.420 0.580 0.973
0.580 0.420 0.027
0.580 0.420 0.473
0.741 0.259 0.750
```


[2]
Calculated X-ray powder pattern of Li7ZnCd4 for Cu Kα X-rays, from a DFT-relaxed cell (PBE, Alexandria).
Intensities are scaled so that the largest is 100.

Largest 10 diffraction maxima, by intensity, 2θ = 10–90°:
| 2θ (°) | intensity |
| --- | --- |
| 23.4 | 100 |
| 38.9 | 61 |
| 38.7 | 58 |
| 32.5 | 45 |
| 56.0 | 20 |
| 70.1 | 20 |
| 22.0 | 18 |
| 45.7 | 16 |
| 61.3 | 13 |
| 51.4 | 12 |

Structural model:
```
Li7ZnCd4
1.0
4.659 0.000 0.000
-2.329 4.035 0.000
0.000 0.000 11.290
Li Zn Cd
7 1 4
Direct
0.000 0.000 0.000
0.000 0.000 0.257
0.000 0.000 0.743
0.333 0.667 0.173
0.333 0.667 0.425
0.667 0.333 0.575
0.667 0.333 0.827
0.000 0.000 0.500
0.333 0.667 0.663
0.333 0.667 0.924
0.667 0.333 0.076
0.667 0.333 0.337
```


[3]
Calculated X-ray powder pattern of Li2ZnCd for Cu Kα X-rays, from a DFT-relaxed cell (PBE, Alexandria).
Intensities are scaled so that the largest is 100.

Largest 10 diffraction maxima, by intensity, 2θ = 10–90°:
| 2θ (°) | intensity |
| --- | --- |
| 28.0 | 100 |
| 39.3 | 100 |
| 27.0 | 55 |
| 40.1 | 47 |
| 49.0 | 41 |
| 63.6 | 18 |
| 70.9 | 16 |
| 72.3 | 15 |
| 72.4 | 15 |
| 19.7 | 14 |

Structural model:
```
Li2ZnCd
1.0
3.177 -3.187 0.000
3.177 3.187 0.000
0.000 0.000 3.297
Li Zn Cd
2 1 1
Direct
0.000 0.500 0.000
0.500 0.000 0.000
0.000 0.000 0.500
0.500 0.500 0.500
```


[4]
Calculated X-ray powder pattern of Li7Zn5Cd for Cu Kα X-rays, from a DFT-relaxed cell (PBE, Alexandria).
Intensities are scaled so that the largest is 100.

Largest 10 diffraction maxima, by intensity, 2θ = 10–90°:
| 2θ (°) | intensity |
| --- | --- |
| 27.5 | 100 |
| 13.6 | 79 |
| 40.4 | 62 |
| 19.2 | 50 |
| 39.4 | 47 |
| 38.9 | 35 |
| 28.0 | 33 |
| 57.9 | 27 |
| 39.7 | 21 |
| 56.6 | 20 |

Structural model:
```
Li7Zn5Cd
1.0
5.242 -4.572 0.000
5.242 4.572 0.000
-2.409 0.000 4.516
Li Zn Cd
7 5 1
Direct
0.000 0.000 0.000
0.011 0.695 0.351
0.157 0.540 0.847
0.540 0.157 0.847
0.565 0.565 0.066
0.680 0.680 0.677
0.695 0.011 0.351
0.122 0.122 0.616
0.348 0.854 0.347
0.349 0.856 0.853
0.854 0.348 0.347
0.856 0.349 0.853
0.344 0.344 0.343
```


[5]
Calculated X-ray powder pattern of Li3Zn3Cd8 for Cu Kα X-rays, from a DFT-relaxed cell (PBE, Alexandria).
Intensities are scaled so that the largest is 100.

Largest 10 diffraction maxima, by intensity, 2θ = 10–90°:
| 2θ (°) | intensity |
| --- | --- |
| 43.8 | 100 |
| 22.4 | 77 |
| 39.2 | 72 |
| 31.9 | 62 |
| 42.6 | 54 |
| 34.4 | 53 |
| 37.1 | 51 |
| 15.8 | 42 |
| 29.2 | 40 |
| 46.2 | 24 |

Structural model:
```
Li3Zn3Cd8
1.0
-2.122 5.607 6.117
2.122 -5.607 6.117
2.122 5.607 -6.117
Li Zn Cd
3 3 8
Direct
0.000 0.000 0.000
0.283 0.283 0.000
0.717 0.717 0.000
0.365 0.500 0.865
0.500 0.000 0.500
0.635 0.500 0.135
0.004 0.378 0.626
0.153 0.851 0.302
0.248 0.622 0.626
0.451 0.149 0.302
0.549 0.851 0.698
0.752 0.378 0.374
0.847 0.149 0.698
0.996 0.622 0.374
```


[6]
Calculated X-ray powder pattern of Li6ZnCd for Cu Kα X-rays, from a DFT-relaxed cell (PBE, Alexandria).
Intensities are scaled so that the largest is 100.

Largest 10 diffraction maxima, by intensity, 2θ = 10–90°:
| 2θ (°) | intensity |
| --- | --- |
| 25.6 | 100 |
| 17.6 | 48 |
| 40.4 | 45 |
| 30.7 | 41 |
| 49.2 | 21 |
| 51.6 | 19 |
| 37.5 | 12 |
| 35.6 | 12 |
| 41.7 | 11 |
| 51.6 | 10 |

Structural model:
```
Li6ZnCd
1.0
4.802 0.000 0.000
0.000 2.916 5.037
0.000 -2.916 5.037
Li Zn Cd
6 1 1
Direct
0.000 0.000 0.000
0.000 0.000 0.486
0.000 0.486 0.000
0.500 0.167 0.661
0.500 0.661 0.167
0.500 0.661 0.661
0.500 0.163 0.163
0.000 0.495 0.495
```


[7]
Calculated X-ray powder pattern of PrTmLuCd for Cu Kα X-rays, from a DFT-relaxed cell (PBE, Alexandria).
Intensities are scaled so that the largest is 100.

Largest 10 diffraction maxima, by intensity, 2θ = 10–90°:
| 2θ (°) | intensity |
| --- | --- |
| 32.8 | 100 |
| 58.5 | 38 |
| 47.0 | 18 |
| 78.2 | 16 |
| 68.7 | 12 |
| 87.4 | 4 |
| 19.9 | 2 |
| 38.6 | 1 |
| 51.5 | 1 |
| 72.3 | 1 |

Structural model:
```
PrTmLuCd
1.0
0.000 3.864 3.864
3.864 0.000 3.864
3.864 3.864 0.000
Pr Tm Lu Cd
1 1 1 1
Direct
0.000 0.000 0.000
0.500 0.500 0.500
0.750 0.750 0.750
0.250 0.250 0.250
```


[8]
Calculated X-ray powder pattern of Lu2CdSe for Cu Kα X-rays, from a DFT-relaxed cell (PBE, Alexandria).
Intensities are scaled so that the largest is 100.

Largest 10 diffraction maxima, by intensity, 2θ = 10–90°:
| 2θ (°) | intensity |
| --- | --- |
| 41.9 | 100 |
| 28.3 | 100 |
| 28.8 | 80 |
| 37.4 | 73 |
| 32.1 | 71 |
| 49.8 | 65 |
| 27.3 | 50 |
| 57.7 | 37 |
| 78.4 | 25 |
| 67.0 | 25 |

Structural model:
```
Lu2CdSe
1.0
1.831 1.057 9.805
-1.831 1.057 9.805
0.000 -2.115 9.805
Lu Cd Se
2 1 1
Direct
0.105 0.105 0.105
0.895 0.895 0.895
0.000 0.000 0.000
0.500 0.500 0.500
```


[9]
Calculated X-ray powder pattern of MgCd2 for Cu Kα X-rays, from a DFT-relaxed cell (PBE, Alexandria).
Intensities are scaled so that the largest is 100.

Largest 10 diffraction maxima, by intensity, 2θ = 10–90°:
| 2θ (°) | intensity |
| --- | --- |
| 35.0 | 100 |
| 39.9 | 35 |
| 69.3 | 25 |
| 59.3 | 20 |
| 19.9 | 18 |
| 42.0 | 15 |
| 57.7 | 12 |
| 26.2 | 12 |
| 72.2 | 11 |
| 73.9 | 10 |

Structural model:
```
MgCd2
1.0
-2.261 2.261 12.902
2.261 -2.261 12.902
2.261 2.261 -12.902
Mg Cd
4 8
Direct
0.294 0.544 0.750
0.456 0.706 0.750
0.544 0.294 0.250
0.706 0.456 0.250
0.040 0.790 0.250
0.126 0.376 0.750
0.210 0.960 0.250
0.376 0.126 0.250
0.624 0.874 0.750
0.790 0.040 0.750
0.874 0.624 0.250
0.960 0.210 0.750
```


[10]
Calculated X-ray powder pattern of Mg4Cd5 for Cu Kα X-rays, from a DFT-relaxed cell (PBE, Alexandria).
Intensities are scaled so that the largest is 100.

Largest 10 diffraction maxima, by intensity, 2θ = 10–90°:
| 2θ (°) | intensity |
| --- | --- |
| 35.0 | 100 |
| 39.9 | 44 |
| 69.3 | 25 |
| 22.7 | 21 |
| 59.4 | 20 |
| 29.4 | 17 |
| 18.5 | 16 |
| 42.2 | 16 |
| 57.7 | 13 |
| 72.5 | 11 |

Structural model:
```
Mg4Cd5
1.0
-4.797 4.797 2.141
4.797 -4.797 2.141
4.797 4.797 -2.141
Mg Cd
4 5
Direct
0.166 0.166 0.332
0.166 0.834 0.000
0.834 0.166 0.000
0.834 0.834 0.668
0.169 0.500 0.669
0.500 0.169 0.669
0.500 0.500 0.000
0.500 0.831 0.331
0.831 0.500 0.331
```


[11]
Calculated X-ray powder pattern of Mg17Cd2 for Cu Kα X-rays, from a DFT-relaxed cell (PBE, Alexandria).
Intensities are scaled so that the largest is 100.

Largest 10 diffraction maxima, by intensity, 2θ = 10–90°:
| 2θ (°) | intensity |
| --- | --- |
| 35.1 | 100 |
| 15.1 | 88 |
| 35.4 | 66 |
| 30.6 | 65 |
| 29.2 | 42 |
| 24.4 | 39 |
| 35.0 | 35 |
| 39.4 | 35 |
| 23.2 | 34 |
| 30.0 | 34 |

Structural model:
```
Mg17Cd2
1.0
5.067 2.925 5.274
-5.067 2.925 5.274
0.000 -5.851 5.274
Mg Cd
17 2
Direct
0.000 0.000 0.500
0.000 0.321 0.679
0.000 0.500 0.000
0.000 0.679 0.321
0.093 0.093 0.093
0.160 0.659 0.659
0.321 0.000 0.679
0.321 0.679 0.000
0.341 0.341 0.840
0.341 0.840 0.341
0.500 0.000 0.000
0.659 0.160 0.659
0.659 0.659 0.160
0.679 0.000 0.321
0.679 0.321 0.000
0.840 0.341 0.341
0.907 0.907 0.907
0.290 0.290 0.290
0.710 0.710 0.710
```


[12]
Calculated X-ray powder pattern of Mg3Cd4 for Cu Kα X-rays, from a DFT-relaxed cell (PBE, Alexandria).
Intensities are scaled so that the largest is 100.

Largest 10 diffraction maxima, by intensity, 2θ = 10–90°:
| 2θ (°) | intensity |
| --- | --- |
| 36.1 | 100 |
| 25.3 | 32 |
| 65.0 | 25 |
| 52.0 | 17 |
| 58.7 | 12 |
| 64.8 | 8 |
| 87.8 | 7 |
| 87.7 | 7 |
| 44.6 | 7 |
| 76.5 | 5 |

Structural model:
```
Mg3Cd4
1.0
6.574 3.796 2.034
-6.574 3.796 2.034
0.000 -7.592 2.034
Mg Cd
6 8
Direct
0.069 0.642 0.782
0.218 0.931 0.358
0.358 0.218 0.931
0.642 0.782 0.069
0.782 0.069 0.642
0.931 0.358 0.218
0.000 0.000 0.000
0.139 0.282 0.572
0.282 0.572 0.139
0.428 0.861 0.718
0.500 0.500 0.500
0.572 0.139 0.282
0.718 0.428 0.861
0.861 0.718 0.428
```